This entry pairs a crystal structure of Cu3Si with its simulated X-ray diffraction stick pattern. Radiation: a wavelength of 1.5418 Å. Structure: DFT lattice parameters and positions (PBE).
Lines closer than 0.1° are merged.

Cell and atoms:
```
Cu3Si
1.0
-1.8028 1.8028 3.6818
1.8028 -1.8028 3.6818
1.8028 1.8028 -3.6818
Cu Si
3 1
direct
0.0000 0.0000 0.0000 Cu
0.2500 0.7500 0.5000 Cu
0.7500 0.2500 0.5000 Cu
0.5000 0.5000 0.0000 Si
```

Peak list (10 most intense, 10° ≤ 2θ ≤ 80°, sorted by position)
2θ (°)  I/Imax
24.17  3.4
27.54  9.9
35.20  2.7
43.16  100.0
44.66  2.7
49.51  16.3
50.63  30.4
58.61  2.2
73.53  18.4
74.42  8.8

This entry pairs a crystal structure of GdCuPb with its simulated X-ray diffraction stick pattern. Radiation: a wavelength of 1.5418 Å. Structure: DFT lattice parameters and positions (PBE).
Lines closer than 0.1° are merged.

Cell and atoms:
```
GdCuPb
1.0
4.6509 0.0000 0.0000
-2.3254 4.0278 0.0000
0.0000 0.0000 7.4982
Gd Cu Pb
2 2 2
direct
0.0000 0.0000 0.0000 Gd
0.0000 0.0000 0.5000 Gd
0.3333 0.6667 0.2500 Cu
0.6667 0.3333 0.7500 Cu
0.3333 0.6667 0.7500 Pb
0.6667 0.3333 0.2500 Pb
```

Peak list (10 most intense, 10° ≤ 2θ ≤ 80°, sorted by position)
2θ (°)  I/Imax
25.10  30.3
32.63  100.0
38.72  68.2
42.57  8.0
45.92  6.6
48.57  11.9
51.51  27.8
63.77  31.5
66.26  26.0
70.09  11.9

This entry pairs a crystal structure of Ca5Ge6Pd6 with its simulated X-ray diffraction stick pattern. Radiation: a wavelength of 1.5418 Å. Structure: DFT lattice parameters and positions (PBE).
Lines closer than 0.1° are merged.

Cell and atoms:
```
Ca5Ge6Pd6
1.0
-4.4241 4.4241 4.4241
4.4241 -4.4241 4.4241
4.4241 4.4241 -4.4241
Ca Ge Pd
5 6 6
direct
0.0000 0.0000 0.0000 Ca
0.0000 0.0000 0.5000 Ca
0.0000 0.5000 0.0000 Ca
0.5000 0.0000 0.0000 Ca
0.5000 0.5000 0.5000 Ca
0.0000 0.3466 0.3466 Ge
0.0000 0.6534 0.6534 Ge
0.3466 0.0000 0.3466 Ge
0.3466 0.3466 0.0000 Ge
0.6534 0.0000 0.6534 Ge
0.6534 0.6534 0.0000 Ge
0.2500 0.5000 0.7500 Pd
0.2500 0.7500 0.5000 Pd
0.5000 0.2500 0.7500 Pd
0.5000 0.7500 0.2500 Pd
0.7500 0.2500 0.5000 Pd
0.7500 0.5000 0.2500 Pd
```

Peak list (10 most intense, 10° ≤ 2θ ≤ 80°, sorted by position)
2θ (°)  I/Imax
14.16  60.1
20.07  40.1
35.13  100.0
38.05  38.9
40.79  61.7
43.39  47.1
48.24  34.1
59.06  22.1
70.61  23.5
72.45  16.0